Calculated powder diffraction line list
Compound: Cd2InCl
Radiation: Cu Kα (weighted mean of Kα1 and Kα2)
Structure: a cell relaxed with PBE
Lines closer than 0.1° are merged.

Peak list (10 most intense, 15 to 90 degrees two-theta, most intense first)
- 2θ 34.57, rel. 100, hkl 1 1 2
- 2θ 30.75, rel. 36, hkl 0 2 0
- 2θ 57.16, rel. 22, hkl 1 3 2
- 2θ 36.81, rel. 19, hkl 0 0 4
- 2θ 48.70, rel. 16, hkl 0 2 4
- 2θ 64.87, rel. 11, hkl 1 1 6
- 2θ 30.59, rel. 10, hkl 1 1 1
- 2θ 60.46, rel. 10, hkl 2 2 0
- 2θ 72.92, rel. 9, hkl 2 2 4
- 2θ 50.68, rel. 8, hkl 2 0 0

Atomic structure:
abc: 3.603 5.816 9.767
angles: 90.00 90.00 90.00
Space group Cmm2 (No. 35)
Asymmetric unit:
Cd1 0.000 0.000 0.000
Cd2 0.000 0.500 0.248
In1 0.000 0.000 0.525
Cl1 0.000 0.500 0.795